1.
# DyHoTm2
Computed powder XRD pattern, Cu Kα (λ = 1.5418 Å). Input: DFT lattice parameters and positions (GGA-PBE).

Principal peaks in the range 2θ from 10° to 90°, in order of rising 2θ:
- 28.79 deg, I 24
- 32.20 deg, I 24
- 33.08 deg, I 100
- 43.73 deg, I 16
- 57.97 deg, I 20
- 61.62 deg, I 23

Cell and atoms:
Unit cell a=6.1937 b=7.1696 c=11.1205 alpha=90.00 beta=90.00 gamma=90.00
Positions (direct):
1 Dy 0.1675 0.0003 0.3750
2 Dy 0.1675 0.9997 0.8750
3 Dy 0.8325 0.0003 0.1250
4 Dy 0.8325 0.9997 0.6250
5 Ho 0.3334 0.2511 0.1243
6 Ho 0.3334 0.7489 0.6243
7 Ho 0.6666 0.2511 0.3757
8 Ho 0.6666 0.7489 0.8757
9 Tm 0.1675 0.4998 0.3750
10 Tm 0.1675 0.5002 0.8750
11 Tm 0.3323 0.2514 0.6257
12 Tm 0.3323 0.7486 0.1257
13 Tm 0.6677 0.2514 0.8743
14 Tm 0.6677 0.7486 0.3743
15 Tm 0.8325 0.4998 0.1250
16 Tm 0.8325 0.5002 0.6250

2.
# Nd3MgTl2
Computed powder XRD pattern, Cu Kα (λ = 1.5418 Å). Input: DFT lattice parameters and positions (GGA-PBE).

Principal peaks in the range 2θ from 10° to 90°, in order of rising 2θ:
- 32.33 deg, I 100
- 32.75 deg, I 49
- 47.00 deg, I 18
- 57.39 deg, I 19
- 58.19 deg, I 38
- 67.67 deg, I 12

Cell and atoms:
Unit cell a=3.8670 b=3.8670 c=11.9006 alpha=90.00 beta=90.00 gamma=90.00
Positions (direct):
1 Nd 0.0000 0.0000 0.0000
2 Nd 0.0000 0.0000 0.3395
3 Nd 0.0000 0.0000 0.6605
4 Mg 0.5000 0.5000 0.5000
5 Tl 0.5000 0.5000 0.1743
6 Tl 0.5000 0.5000 0.8257

3.
# Ho5Mg4Co2
Computed powder XRD pattern, Cu Kα (λ = 1.5418 Å). Input: DFT lattice parameters and positions (GGA-PBE).

Principal peaks in the range 2θ from 10° to 90°, in order of rising 2θ:
- 18.37 deg, I 58
- 25.04 deg, I 59
- 33.94 deg, I 95
- 35.19 deg, I 100
- 36.93 deg, I 54
- 37.11 deg, I 55

Cell and atoms:
Unit cell a=7.9970 b=18.1739 c=3.5566 alpha=90.00 beta=90.00 gamma=90.00
Positions (direct):
1 Ho 0.0000 0.0000 0.0000
2 Ho 0.1267 0.4040 0.0000
3 Ho 0.2321 0.7211 0.0000
4 Ho 0.2679 0.2211 0.0000
5 Ho 0.3733 0.9040 0.0000
6 Ho 0.5000 0.5000 0.0000
7 Ho 0.6267 0.0960 0.0000
8 Ho 0.7321 0.7789 0.0000
9 Ho 0.7679 0.2789 0.0000
10 Ho 0.8733 0.5960 0.0000
11 Mg 0.0506 0.8477 0.5000
12 Mg 0.1961 0.5657 0.5000
13 Mg 0.3039 0.0657 0.5000
14 Mg 0.4494 0.3477 0.5000
15 Mg 0.5506 0.6523 0.5000
16 Mg 0.6961 0.9343 0.5000
17 Mg 0.8039 0.4343 0.5000
18 Mg 0.9494 0.1523 0.5000
19 Co 0.0432 0.2999 0.5000
20 Co 0.4568 0.7999 0.5000
21 Co 0.5432 0.2001 0.5000
22 Co 0.9568 0.7001 0.5000

4.
# TcHgPtS2
Computed powder XRD pattern, Cu Kα (λ = 1.5418 Å). Input: DFT lattice parameters and positions (GGA-PBE).

Principal peaks in the range 2θ from 10° to 90°, in order of rising 2θ:
- 18.19 deg, I 100
- 25.84 deg, I 95
- 35.11 deg, I 38
- 36.87 deg, I 66
- 44.10 deg, I 48
- 51.82 deg, I 50

Cell and atoms:
Unit cell a=4.8763 b=4.8763 c=5.1118 alpha=90.00 beta=90.00 gamma=90.00
Positions (direct):
1 Tc 0.0000 0.0000 0.0000
2 Hg 0.5000 0.5000 0.5000
3 Pt 0.5000 0.5000 0.0000
4 S 0.0000 0.5000 0.5000
5 S 0.5000 0.0000 0.5000

5.
# Na5CuCO5
Computed powder XRD pattern, Cu Kα (λ = 1.5418 Å). Input: DFT lattice parameters and positions (GGA-PBE).

Principal peaks in the range 2θ from 10° to 90°, in order of rising 2θ:
- 18.21 deg, I 43
- 21.00 deg, I 36
- 22.48 deg, I 78
- 34.42 deg, I 100
- 36.89 deg, I 50
- 40.40 deg, I 50

Cell and atoms:
Unit cell a=4.4654 b=8.5283 c=4.8730 alpha=90.00 beta=90.00 gamma=90.00
Positions (direct):
1 Na 0.0000 0.0000 0.0000
2 Na 0.0000 0.2747 0.5352
3 Na 0.0000 0.7253 0.5352
4 Na 0.5000 0.2533 0.0286
5 Na 0.5000 0.7467 0.0286
6 Cu 0.0000 0.5000 0.0367
7 C 0.5000 0.0000 0.4612
8 O 0.0000 0.2875 0.0382
9 O 0.0000 0.7125 0.0382
10 O 0.5000 0.0000 0.1940
11 O 0.5000 0.1336 0.5917
12 O 0.5000 0.8664 0.5917